Entry 1:
The following is a computed XRD peak list of CsPb2Br5. It was derived from the GGA-PBE geometry in Alexandria, using Cu Ka.

Peak list (12 most intense, 15° ≤ 2θ ≤ 90°, sorted by position)
d = 4.827 Å, I = 13; d = 3.779 Å, I = 24; d = 3.326 Å, I = 13; d = 3.110 Å, I = 100; d = 3.037 Å, I = 13; d = 2.716 Å, I = 53; d = 2.450 Å, I = 53; d = 1.988 Å, I = 14; d = 1.939 Å, I = 22; d = 1.743 Å, I = 16; d = 1.604 Å, I = 22; d = 1.527 Å, I = 13

Crystal structure
```
CsPb2Br5
1.0
-4.295 4.295 7.951
4.295 -4.295 7.951
4.295 4.295 -7.951
Cs Pb Br
2 4 10
Direct
0.250 0.250 0.000 Cs
0.750 0.750 0.000 Cs
0.169 0.669 0.837 Pb
0.331 0.169 0.500 Pb
0.669 0.831 0.500 Pb
0.831 0.331 0.163 Pb
0.000 0.000 0.000 Br
0.028 0.223 0.500 Br
0.223 0.723 0.194 Br
0.277 0.472 0.500 Br
0.472 0.972 0.194 Br
0.500 0.500 0.000 Br
0.528 0.028 0.806 Br
0.723 0.528 0.500 Br
0.777 0.277 0.806 Br
0.972 0.777 0.500 Br
```

=====

Entry 2:
The following is a computed XRD peak list of Pa3Si2Ni6. It was derived from the GGA-PBE geometry in Alexandria, using Cu Ka.

Peak list (12 most intense, 15° ≤ 2θ ≤ 90°, sorted by position)
d = 4.356 Å, I = 18; d = 3.557 Å, I = 40; d = 3.080 Å, I = 21; d = 2.755 Å, I = 47; d = 2.515 Å, I = 62; d = 2.329 Å, I = 43; d = 2.178 Å, I = 32; d = 2.054 Å, I = 100; d = 1.591 Å, I = 29; d = 1.413 Å, I = 25; d = 1.314 Å, I = 29; d = 1.186 Å, I = 20

Crystal structure
```
Pa3Si2Ni6
1.0
-4.356 4.356 4.356
4.356 -4.356 4.356
4.356 4.356 -4.356
Pa Si Ni
6 4 12
Direct
0.000 0.275 0.275 Pa
0.000 0.725 0.725 Pa
0.275 0.000 0.275 Pa
0.275 0.275 0.000 Pa
0.725 0.000 0.725 Pa
0.725 0.725 0.000 Pa
0.000 0.000 0.500 Si
0.000 0.500 0.000 Si
0.500 0.000 0.000 Si
0.500 0.500 0.500 Si
0.000 0.342 0.658 Ni
0.000 0.658 0.342 Ni
0.317 0.658 0.658 Ni
0.342 0.000 0.658 Ni
0.342 0.342 0.683 Ni
0.342 0.658 0.000 Ni
0.342 0.683 0.342 Ni
0.658 0.000 0.342 Ni
0.658 0.317 0.658 Ni
0.658 0.342 0.000 Ni
0.658 0.658 0.317 Ni
0.683 0.342 0.342 Ni
```

=====

Entry 3:
The following is a computed XRD peak list of Li3ErMg6. It was derived from the GGA-PBE geometry in Alexandria, using Cu Ka.

Peak list (12 most intense, 15° ≤ 2θ ≤ 90°, sorted by position)
d = 4.499 Å, I = 23; d = 4.026 Å, I = 37; d = 3.497 Å, I = 55; d = 3.234 Å, I = 53; d = 3.151 Å, I = 33; d = 2.904 Å, I = 45; d = 2.768 Å, I = 57; d = 2.562 Å, I = 82; d = 2.547 Å, I = 100; d = 2.419 Å, I = 46; d = 2.354 Å, I = 45; d = 1.687 Å, I = 34

Crystal structure
```
Li3ErMg6
1.0
9.091 0.000 0.000
0.000 4.837 0.000
-1.462 0.000 10.123
Li Er Mg
6 2 12
Direct
0.052 0.250 0.397 Li
0.156 0.750 0.183 Li
0.247 0.250 0.971 Li
0.753 0.750 0.029 Li
0.844 0.250 0.817 Li
0.948 0.750 0.603 Li
0.443 0.250 0.597 Er
0.557 0.750 0.403 Er
0.030 0.750 0.899 Mg
0.116 0.250 0.693 Mg
0.221 0.750 0.476 Mg
0.329 0.250 0.275 Mg
0.336 0.750 0.786 Mg
0.441 0.750 0.087 Mg
0.559 0.250 0.913 Mg
0.664 0.250 0.214 Mg
0.671 0.750 0.725 Mg
0.779 0.250 0.524 Mg
0.884 0.750 0.307 Mg
0.970 0.250 0.101 Mg
```